(1)
Simulated powder XRD pattern
Compound: Pa2Ga4NiGe2
Radiation: Cu Kα
Structure: a GGA-PBE-relaxed structure
Neutral-atom scattering factors, no anomalous dispersion.

Atomic structure:
```
data_Pa2Ga4NiGe2
_symmetry_space_group_name_H-M 'I 4/m m m'
_symmetry_Int_Tables_number 139
_symmetry_space_group_name_Hall '-I 4 2'
_cell_length_a 6.0711
_cell_length_b 6.0711
_cell_length_c 8.9725
_cell_angle_alpha 90.00
_cell_angle_beta 90.00
_cell_angle_gamma 90.00
loop_
_atom_site_label
_atom_site_type_symbol
_atom_site_fract_x
_atom_site_fract_y
_atom_site_fract_z
Pa1 Pa 0.0000 0.5000 0.2500
Ga1 Ga 0.2218 0.2218 0.0000
Ni1 Ni 0.0000 0.0000 0.5000
Ge1 Ge 0.0000 0.0000 0.2314
```

The 8 most intense peaks (15 to 90 degrees two-theta), by angle:
d (Å)  2theta  I_rel  hkl
4.293  20.69  14  1 1 0
3.102  28.78  38  1 1 2
3.036  29.42  19  2 0 0
2.514  35.71  100  2 0 2
2.243  40.20  25  0 0 4
2.146  42.10  42  2 2 0
1.551  59.62  29  2 2 4
1.299  72.78  22  4 2 2

=====

(2)
Simulated powder XRD pattern
Compound: Pm2Ga3Ni4Ge
Radiation: Cu Kα
Structure: a GGA-PBE-relaxed structure
Neutral-atom scattering factors, no anomalous dispersion.

Atomic structure:
```
data_Pm2Ga3Ni4Ge
_symmetry_space_group_name_H-M 'P -4 m 2'
_symmetry_Int_Tables_number 115
_cell_length_a 4.1657
_cell_length_b 4.1657
_cell_length_c 9.7486
_cell_angle_alpha 90.00
_cell_angle_beta 90.00
_cell_angle_gamma 90.00
loop_
_symmetry_equiv_pos_as_xyz
'x,y,z'
'y,-x,-z'
'-x,-y,z'
'-y,x,-z'
'-x,y,z'
'-y,-x,-z'
'x,-y,z'
'y,x,-z'
loop_
_atom_site_label
_atom_site_type_symbol
_atom_site_fract_x
_atom_site_fract_y
_atom_site_fract_z
Pm1 Pm 0.0000 0.5000 0.2505
Ga1 Ga 0.0000 0.0000 0.0000
Ga2 Ga 0.0000 0.5000 0.6258
Ni1 Ni 0.0000 0.0000 0.5000
Ni2 Ni 0.0000 0.5000 0.8724
Ni3 Ni 0.5000 0.5000 0.5000
Ge1 Ge 0.5000 0.5000 0.0000
```

The 8 most intense peaks (15 to 90 degrees two-theta), by angle:
d (Å)  2theta  I_rel  hkl
2.562  35.02  73  1 0 3
2.521  35.61  100  1 1 2
2.083  43.45  61  2 0 0
1.766  51.77  25  1 0 5
1.616  56.98  35  2 1 3
1.473  63.13  19  2 2 0
1.347  69.83  20  2 1 5
1.272  74.63  22  3 1 2

=====

(3)
Simulated powder XRD pattern
Compound: Th2GaNi4Ge3
Radiation: Cu Kα
Structure: a GGA-PBE-relaxed structure
Neutral-atom scattering factors, no anomalous dispersion.

Atomic structure:
```
data_Th2GaNi4Ge3
_symmetry_space_group_name_H-M 'P -4 m 2'
_symmetry_Int_Tables_number 115
_cell_length_a 4.1747
_cell_length_b 4.1747
_cell_length_c 9.7115
_cell_angle_alpha 90.00
_cell_angle_beta 90.00
_cell_angle_gamma 90.00
loop_
_symmetry_equiv_pos_as_xyz
'x,y,z'
'y,-x,-z'
'-x,-y,z'
'-y,x,-z'
'-x,y,z'
'-y,-x,-z'
'x,-y,z'
'y,x,-z'
loop_
_atom_site_label
_atom_site_type_symbol
_atom_site_fract_x
_atom_site_fract_y
_atom_site_fract_z
Th1 Th 0.0000 0.5000 0.2422
Ga1 Ga 0.0000 0.0000 0.5000
Ni1 Ni 0.0000 0.0000 0.0000
Ni2 Ni 0.0000 0.5000 0.6275
Ni3 Ni 0.5000 0.5000 0.0000
Ge1 Ge 0.0000 0.5000 0.8721
Ge2 Ge 0.5000 0.5000 0.5000
```

The 8 most intense peaks (15 to 90 degrees two-theta), by angle:
d (Å)  2theta  I_rel  hkl
3.835  23.19  31  1 0 1
2.952  30.28  28  1 1 0
2.558  35.08  77  1 0 3
2.522  35.59  100  1 1 2
2.087  43.35  54  2 0 0
1.761  51.92  27  1 0 5
1.617  56.94  39  2 1 3
1.274  74.48  23  3 1 2

=====

(4)
Simulated powder XRD pattern
Compound: YGa2Ni2Ge
Radiation: Cu Kα
Structure: a GGA-PBE-relaxed structure
Neutral-atom scattering factors, no anomalous dispersion.

Atomic structure:
```
data_YGa2Ni2Ge
_symmetry_space_group_name_H-M 'P 4/m m m'
_symmetry_Int_Tables_number 123
_symmetry_space_group_name_Hall '-P 4 2'
_cell_length_a 4.3833
_cell_length_b 4.3833
_cell_length_c 5.5002
_cell_angle_alpha 90.00
_cell_angle_beta 90.00
_cell_angle_gamma 90.00
loop_
_atom_site_label
_atom_site_type_symbol
_atom_site_fract_x
_atom_site_fract_y
_atom_site_fract_z
Y1 Y 0.0000 0.0000 0.0000
Ga1 Ga 0.5000 0.5000 0.2374
Ni1 Ni 0.0000 0.5000 0.5000
Ge1 Ge 0.0000 0.0000 0.5000
```

The 8 most intense peaks (15 to 90 degrees two-theta), by angle:
d (Å)  2theta  I_rel  hkl
5.500  16.11  25  0 0 1
3.099  28.80  38  1 1 0
2.700  33.18  39  1 1 1
2.330  38.65  100  1 0 2
2.192  41.19  85  2 0 0
1.596  57.76  60  2 1 2
1.550  59.66  27  2 2 0
1.165  82.88  20  2 0 4

=====

(5)
Simulated powder XRD pattern
Compound: NpGaTcGe
Radiation: Cu Kα
Structure: a GGA-PBE-relaxed structure
Neutral-atom scattering factors, no anomalous dispersion.

Atomic structure:
```
data_NpGaTcGe
_symmetry_space_group_name_H-M 'F -4 3 m'
_symmetry_Int_Tables_number 216
_symmetry_space_group_name_Hall 'F -4 2 3'
_cell_length_a 6.5466
_cell_length_b 6.5466
_cell_length_c 6.5466
_cell_angle_alpha 90.00
_cell_angle_beta 90.00
_cell_angle_gamma 90.00
loop_
_atom_site_label
_atom_site_type_symbol
_atom_site_fract_x
_atom_site_fract_y
_atom_site_fract_z
Np1 Np 0.0000 0.0000 0.0000
Ga1 Ga 0.2500 0.2500 0.2500
Tc1 Tc 0.0000 0.0000 0.5000
Ge1 Ge 0.2500 0.2500 0.7500
```

The 8 most intense peaks (15 to 90 degrees two-theta), by angle:
d (Å)  2theta  I_rel  hkl
3.780  23.54  17  1 1 1
3.273  27.24  18  2 0 0
2.315  38.91  100  2 2 0
1.974  45.98  10  3 1 1
1.637  56.20  17  4 0 0
1.464  63.56  7  4 2 0
1.336  70.46  35  4 2 2
1.157  83.54  11  4 4 0

=====

(6)
Simulated powder XRD pattern
Compound: PrGaGe2O7
Radiation: Cu Kα
Structure: a GGA-PBE-relaxed structure
Neutral-atom scattering factors, no anomalous dispersion.

Atomic structure:
```
data_PrGaGe2O7
_symmetry_space_group_name_H-M 'P 1 21/c 1'
_symmetry_Int_Tables_number 14
_cell_length_a 7.3730
_cell_length_b 6.6857
_cell_length_c 13.0827
_cell_angle_alpha 90.00
_cell_angle_beta 117.63
_cell_angle_gamma 90.00
loop_
_symmetry_equiv_pos_as_xyz
'x,y,z'
'-x,-y,-z'
'-x,y+1/2,-z+1/2'
'x,-y+1/2,z+1/2'
loop_
_atom_site_label
_atom_site_type_symbol
_atom_site_fract_x
_atom_site_fract_y
_atom_site_fract_z
Pr1 Pr 0.2387 0.1467 0.4751
Ga1 Ga 0.2149 0.1002 0.7316
Ge1 Ge 0.2132 0.6587 0.4546
Ge2 Ge 0.2991 0.5886 0.7185
O1 O 0.0084 0.6628 0.9199
O2 O 0.1541 0.6882 0.1851
O3 O 0.2072 0.0501 0.8706
O4 O 0.2208 0.1100 0.2782
O5 O 0.2522 0.5028 0.5755
O6 O 0.4075 0.6744 0.9792
O7 O 0.4331 0.1237 0.6949
```

The 8 most intense peaks (15 to 90 degrees two-theta), by angle:
d (Å)  2theta  I_rel  hkl
3.267  27.30  100  2 0 0
3.041  29.37  49  1 2 -1
2.951  30.29  26  2 0 -4
2.897  30.86  38  0 0 4
2.746  32.61  22  1 2 1
2.528  35.51  21  0 2 3
2.051  44.15  16  1 2 -5
1.757  52.04  16  2 2 3

=====

(7)
Simulated powder XRD pattern
Compound: SrGaGe2O6
Radiation: Cu Kα
Structure: a GGA-PBE-relaxed structure
Neutral-atom scattering factors, no anomalous dispersion.

Atomic structure:
```
data_SrGaGe2O6
_symmetry_space_group_name_H-M 'C 1 2/c 1'
_symmetry_Int_Tables_number 15
_cell_length_a 11.1266
_cell_length_b 9.3013
_cell_length_c 6.6661
_cell_angle_alpha 90.00
_cell_angle_beta 120.32
_cell_angle_gamma 90.00
loop_
_symmetry_equiv_pos_as_xyz
'x,y,z'
'-x,-y,-z'
'-x,y,-z+1/2'
'x,-y,z+1/2'
'x+1/2,y+1/2,z'
'-x+1/2,-y+1/2,-z'
'-x+1/2,y+1/2,-z+1/2'
'x+1/2,-y+1/2,z+1/2'
loop_
_atom_site_label
_atom_site_type_symbol
_atom_site_fract_x
_atom_site_fract_y
_atom_site_fract_z
Sr1 Sr 0.0000 0.1722 0.2500
Ga1 Ga 0.0000 0.2020 0.7500
Ge1 Ge 0.2016 0.4446 0.1640
O1 O 0.1113 0.0821 0.6826
O2 O 0.1123 0.2785 0.0405
O3 O 0.1690 0.4367 0.4215
```

The 8 most intense peaks (15 to 90 degrees two-theta), by angle:
d (Å)  2theta  I_rel  hkl
3.466  25.71  41  2 2 -1
3.341  26.68  100  2 2 0
3.062  29.17  39  1 1 -2
3.027  29.51  61  3 1 0
2.950  30.29  38  1 3 0
2.877  31.09  30  0 0 2
2.699  33.20  38  2 2 -2
2.599  34.52  44  4 0 -2

=====

(8)
Simulated powder XRD pattern
Compound: ZrGaGe2O
Radiation: Cu Kα
Structure: a GGA-PBE-relaxed structure
Neutral-atom scattering factors, no anomalous dispersion.

Atomic structure:
```
data_ZrGaGe2O
_symmetry_space_group_name_H-M 'P 4/m m m'
_symmetry_Int_Tables_number 123
_symmetry_space_group_name_Hall '-P 4 2'
_cell_length_a 4.5721
_cell_length_b 4.5721
_cell_length_c 5.2764
_cell_angle_alpha 90.00
_cell_angle_beta 90.00
_cell_angle_gamma 90.00
loop_
_atom_site_label
_atom_site_type_symbol
_atom_site_fract_x
_atom_site_fract_y
_atom_site_fract_z
Zr1 Zr 0.0000 0.0000 0.0000
Ga1 Ga 0.0000 0.0000 0.5000
Ge1 Ge 0.0000 0.5000 0.5000
O1 O 0.5000 0.5000 0.0000
```

The 8 most intense peaks (15 to 90 degrees two-theta), by angle:
d (Å)  2theta  I_rel  hkl
5.276  16.80  34  0 0 1
4.572  19.41  88  1 0 0
2.757  32.48  77  1 1 1
2.638  33.98  54  0 0 2
2.286  39.42  100  2 0 0
1.728  53.00  58  2 0 2
1.616  56.97  43  2 2 0
1.143  84.85  28  4 0 0